Starting from a structure optimized by DFT (GGA-PBE), the PXRD pattern of LiThHg2 was computed for Cu Kα (λ = 1.5418 Å).
Peak positions follow from Bragg's law for the DFT cell and can differ from measured ones.

Crystal structure
abc: 5.1784 5.1784 5.1784
angles: 60.00 60.00 60.00
Sites, in units of the cell vectors:
Li 0.0000 0.0000 0.0000
Th 0.5000 0.5000 0.5000
Hg 0.2500 0.2500 0.2500
Hg 0.7500 0.7500 0.7500

Peak list (12 most intense, 2θ from 10° to 90°, by intensity)
2θ (°)	I_rel
34.64	1000
62.09	382
21.01	274
49.80	183
83.48	173
40.87	154
73.09	120
24.31	91
54.63	67
66.32	51
77.04	50
56.17	38


Starting from a structure optimized by DFT (GGA-PBE), the PXRD pattern of LiTmHg2 was computed for Cu Kα (λ = 1.5418 Å).
Peak positions follow from Bragg's law for the DFT cell and can differ from measured ones.

Crystal structure
abc: 4.9825 4.9825 4.9825
angles: 60.00 60.00 60.00
Sites, in units of the cell vectors:
Li 0.0000 0.0000 0.0000
Tm 0.5000 0.5000 0.5000
Hg 0.2500 0.2500 0.2500
Hg 0.7500 0.7500 0.7500

Peak list (12 most intense, 2θ from 10° to 90°, by intensity)
2θ (°)	I_rel
36.05	1000
64.82	370
25.28	192
21.85	190
51.91	179
87.57	173
76.47	117
42.55	101
58.59	80
44.54	59
56.97	43
82.06	41


Starting from a structure optimized by DFT (GGA-PBE), the PXRD pattern of LiYHg2 was computed for Cu Kα (λ = 1.5418 Å).
Peak positions follow from Bragg's law for the DFT cell and can differ from measured ones.

Crystal structure
abc: 5.0386 5.0386 5.0386
angles: 60.00 60.00 60.00
Sites, in units of the cell vectors:
Li 0.0000 0.0000 0.0000
Y 0.5000 0.5000 0.5000
Hg 0.2500 0.2500 0.2500
Hg 0.7500 0.7500 0.7500

Peak list (12 most intense, 2θ from 10° to 90°, by intensity)
2θ (°)	I_rel
35.64	1000
24.99	455
64.01	369
57.87	195
51.29	179
86.35	169
44.02	143
75.47	116
80.95	99
21.60	73
42.06	37
56.27	15